Structure and simulated XRD peak list of DyHo2Mg3Al2In (a crystal structure in OQMD, relaxed with GGA-PBE; λ = 1.5418 Å (Cu Kα)).

Top 12 peaks for 2θ from 10° to 90°, sorted by position:
d_spacing	I_rel
4.592	47
3.687	14
3.193	56
2.875	37
2.622	100
2.414	17
2.296	20
1.864	24
1.771	15
1.653	24
1.402	14
1.380	13

abc: 4.5919 7.3779 7.3779
angles: 120.09 90.00 90.00
Fractional coordinates of all 9 atoms:
Dy (0.0000, 0.0000, 0.0000)
Ho (0.0000, 0.1242, 0.5621)
Ho (0.0000, 0.5621, 0.1242)
Mg (0.5000, 0.3157, 0.3157)
Mg (0.5000, 0.5619, 0.8081)
Mg (0.5000, 0.8081, 0.5619)
Al (0.5000, 0.2291, 0.8951)
Al (0.5000, 0.8951, 0.2291)
In (0.0000, 0.5611, 0.5611)

=====

Structure and simulated XRD peak list of Dy2HoMg4Al2 (a crystal structure in OQMD, relaxed with GGA-PBE; λ = 1.5418 Å (Cu Kα)).

Top 12 peaks for 2θ from 10° to 90°, sorted by position:
d_spacing	I_rel
6.469	25
4.562	43
3.733	43
3.234	51
2.890	72
2.638	100
2.445	30
2.281	21
1.864	22
1.670	34
1.668	26
1.410	23

abc: 4.5617 7.4652 7.4652
angles: 119.89 90.00 90.00
Fractional coordinates of all 9 atoms:
Dy (0.0000, 0.2180, 0.7820)
Dy (0.0000, 0.7820, 0.2180)
Ho (0.0000, 0.3457, 0.3457)
Mg (0.0000, 0.7811, 0.7811)
Mg (0.5000, 0.0316, 0.0316)
Mg (0.5000, 0.5320, 0.7817)
Mg (0.5000, 0.7817, 0.5320)
Al (0.5000, 0.1157, 0.4484)
Al (0.5000, 0.4484, 0.1157)

=====

Structure and simulated XRD peak list of Dy2HoAl3Si2Pd (a crystal structure in OQMD, relaxed with GGA-PBE; λ = 1.5418 Å (Cu Kα)).

Top 12 peaks for 2θ from 10° to 90°, sorted by position:
d_spacing	I_rel
4.247	58
3.439	33
2.978	52
2.673	74
2.439	100
2.251	26
2.124	25
1.988	30
1.729	21
1.652	20
1.540	33
1.301	19

abc: 4.2475 6.8782 6.8782
angles: 119.99 90.00 90.00
Fractional coordinates of all 9 atoms:
Dy (0.0000, 0.2088, 0.7912)
Dy (0.0000, 0.7912, 0.2088)
Ho (0.0000, 0.6265, 0.6265)
Al (0.5000, 0.2092, 0.4479)
Al (0.5000, 0.4479, 0.2092)
Al (0.5000, 0.9699, 0.9699)
Si (0.5000, 0.5426, 0.8750)
Si (0.5000, 0.8750, 0.5426)
Pd (0.0000, 0.2099, 0.2099)

=====

Structure and simulated XRD peak list of SmDy2HoAl2 (a crystal structure in OQMD, relaxed with GGA-PBE; λ = 1.5418 Å (Cu Kα)).

Top 12 peaks for 2θ from 10° to 90°, sorted by position:
d_spacing	I_rel
4.545	14
3.758	46
2.691	100
2.624	87
2.151	10
1.879	35
1.528	36
1.515	16
1.409	25
1.312	10
1.179	15
1.122	12

abc: 5.2484 5.2484 6.6794
angles: 90.00 90.00 120.00
Fractional coordinates of all 6 atoms:
Sm (0.0000, 0.0000, 0.0000)
Dy (0.6667, 0.3333, 0.2539)
Dy (0.6667, 0.3333, 0.7461)
Ho (0.3333, 0.6667, 0.5000)
Al (0.0000, 0.0000, 0.5000)
Al (0.3333, 0.6667, 0.0000)

=====

Structure and simulated XRD peak list of Dy2AlIn5 (a crystal structure in OQMD, relaxed with GGA-PBE; λ = 1.5418 Å (Cu Kα)).

Top 12 peaks for 2θ from 10° to 90°, sorted by position:
d_spacing	I_rel
3.798	16
2.867	12
2.853	26
2.544	36
2.498	53
2.488	100
1.899	16
1.653	19
1.458	28
1.386	20
1.381	17
1.374	15

abc: 5.0879 6.5778 11.4680
angles: 90.00 90.00 90.00
Fractional coordinates of all 16 atoms:
Dy (0.0000, 0.0000, 0.0000)
Dy (0.0000, 0.5000, 0.5000)
Dy (0.5000, 0.0000, 0.3377)
Dy (0.5000, 0.5000, 0.8377)
Al (0.0000, 0.0000, 0.5124)
Al (0.0000, 0.5000, 0.0124)
In (0.0000, 0.2416, 0.7462)
In (0.0000, 0.2584, 0.2462)
In (0.0000, 0.7416, 0.2462)
In (0.0000, 0.7584, 0.7462)
In (0.5000, 0.0000, 0.8280)
In (0.5000, 0.2368, 0.5845)
In (0.5000, 0.2632, 0.0845)
In (0.5000, 0.5000, 0.3280)
In (0.5000, 0.7368, 0.0845)
In (0.5000, 0.7632, 0.5845)

=====

Structure and simulated XRD peak list of Dy3Mg3Al2In (a crystal structure in OQMD, relaxed with GGA-PBE; λ = 1.5418 Å (Cu Kα)).

Top 12 peaks for 2θ from 10° to 90°, sorted by position:
d_spacing	I_rel
4.610	47
3.700	13
3.204	55
2.885	37
2.631	100
2.422	16
2.305	20
1.871	24
1.777	14
1.658	23
1.407	13
1.385	13

abc: 7.3998 7.3998 4.6097
angles: 90.00 90.00 120.00
Fractional coordinates of all 9 atoms:
Dy (0.0000, 0.5620, 0.0000)
Dy (0.4380, 0.4380, 0.0000)
Dy (0.5620, 0.0000, 0.0000)
Mg (0.0000, 0.2465, 0.5000)
Mg (0.2465, 0.0000, 0.5000)
Mg (0.7535, 0.7535, 0.5000)
Al (0.3333, 0.6667, 0.5000)
Al (0.6667, 0.3333, 0.5000)
In (0.0000, 0.0000, 0.0000)

=====

Structure and simulated XRD peak list of Dy2Al3InNi2 (a crystal structure in OQMD, relaxed with GGA-PBE; λ = 1.5418 Å (Cu Kα)).

Top 12 peaks for 2θ from 10° to 90°, sorted by position:
d_spacing	I_rel
5.406	32
4.586	31
3.408	42
3.013	60
2.816	48
2.766	100
2.713	64
2.703	29
2.518	86
2.192	33
1.877	30
1.862	62

abc: 11.2924 5.0356 6.8176
angles: 90.00 125.69 90.00
Fractional coordinates of all 16 atoms:
Dy (0.0000, 0.0000, 0.0000)
Dy (0.1385, 0.0000, 0.6258)
Dy (0.5000, 0.5000, 0.0000)
Dy (0.6385, 0.5000, 0.6258)
Al (0.2198, 0.5000, 0.9909)
Al (0.2999, 0.5000, 0.4618)
Al (0.4378, 0.0000, 0.6672)
Al (0.7198, 0.0000, 0.9909)
Al (0.7999, 0.0000, 0.4618)
Al (0.9378, 0.5000, 0.6672)
In (0.3566, 0.0000, 0.1887)
In (0.8566, 0.5000, 0.1887)
Ni (0.0570, 0.5000, 0.1167)
Ni (0.1251, 0.5000, 0.5568)
Ni (0.5570, 0.0000, 0.1167)
Ni (0.6251, 0.0000, 0.5568)

=====

Structure and simulated XRD peak list of NdDy2Al3Si2Ir (a crystal structure in OQMD, relaxed with GGA-PBE; λ = 1.5418 Å (Cu Kα)).

Top 12 peaks for 2θ from 10° to 90°, sorted by position:
d_spacing	I_rel
4.248	58
3.491	26
3.031	19
3.021	37
2.697	51
2.463	100
2.288	16
2.124	23
2.014	28
1.737	15
1.557	20
1.320	15

abc: 4.2475 6.9914 6.9914
angles: 120.22 90.00 90.00
Fractional coordinates of all 9 atoms:
Nd (0.0000, 0.0000, 0.0000)
Dy (0.0000, 0.4160, 0.8309)
Dy (0.0000, 0.8309, 0.4160)
Al (0.5000, 0.1872, 0.4205)
Al (0.5000, 0.4205, 0.1872)
Al (0.5000, 0.6474, 0.6474)
Si (0.5000, 0.0875, 0.7465)
Si (0.5000, 0.7465, 0.0875)
Ir (0.0000, 0.4254, 0.4254)

=====

Structure and simulated XRD peak list of Dy2AlIrOs (a crystal structure in OQMD, relaxed with GGA-PBE; λ = 1.5418 Å (Cu Kα)).

Top 12 peaks for 2θ from 10° to 90°, sorted by position:
d_spacing	I_rel
4.808	19
3.688	52
3.341	36
2.636	80
2.404	93
2.343	82
2.281	100
2.145	26
2.043	41
1.749	20
1.557	49
1.389	46

abc: 4.0851 8.5790 5.8061
angles: 90.00 90.00 90.00
Fractional coordinates of all 10 atoms:
Dy (0.0000, 0.2048, 0.0000)
Dy (0.0000, 0.7952, 0.0000)
Dy (0.5000, 0.2952, 0.5000)
Dy (0.5000, 0.7048, 0.5000)
Al (0.0000, 0.0000, 0.4913)
Al (0.5000, 0.5000, 0.9913)
Ir (0.0000, 0.5000, 0.2672)
Ir (0.5000, 0.0000, 0.7672)
Os (0.0000, 0.5000, 0.7228)
Os (0.5000, 0.0000, 0.2228)

=====

Structure and simulated XRD peak list of Dy2AlSiIr (a crystal structure in OQMD, relaxed with GGA-PBE; λ = 1.5418 Å (Cu Kα)).

Top 12 peaks for 2θ from 10° to 90°, sorted by position:
d_spacing	I_rel
4.746	52
3.337	56
2.650	95
2.586	26
2.376	100
2.254	47
2.181	14
2.066	27
1.715	18
1.667	14
1.558	28
1.397	29

abc: 4.1326 8.7244 5.6555
angles: 90.00 90.00 90.00
Fractional coordinates of all 10 atoms:
Dy (0.0000, 0.2035, 0.0000)
Dy (0.0000, 0.7965, 0.0000)
Dy (0.5000, 0.2965, 0.5000)
Dy (0.5000, 0.7035, 0.5000)
Al (0.0000, 0.0000, 0.5019)
Al (0.5000, 0.5000, 0.0019)
Si (0.0000, 0.5000, 0.7229)
Si (0.5000, 0.0000, 0.2229)
Ir (0.0000, 0.5000, 0.2800)
Ir (0.5000, 0.0000, 0.7800)

=====

Structure and simulated XRD peak list of DyMgAlPd (a crystal structure in OQMD, relaxed with GGA-PBE; λ = 1.5418 Å (Cu Kα)).

Top 12 peaks for 2θ from 10° to 90°, sorted by position:
d_spacing	I_rel
8.537	47
4.998	100
4.268	18
3.414	50
3.246	28
2.794	64
2.439	62
2.430	35
2.185	24
2.180	23
2.070	17
1.863	26

abc: 4.8594 17.0738 4.9978
angles: 90.00 90.00 90.00
Fractional coordinates of all 16 atoms:
Dy (0.0000, 0.1179, 0.0000)
Dy (0.0000, 0.8821, 0.0000)
Dy (0.5000, 0.3821, 0.0000)
Dy (0.5000, 0.6179, 0.0000)
Mg (0.0000, 0.2906, 0.3779)
Mg (0.0000, 0.7094, 0.3779)
Mg (0.5000, 0.2094, 0.3779)
Mg (0.5000, 0.7906, 0.3779)
Al (0.0000, 0.4285, 0.6378)
Al (0.0000, 0.5715, 0.6378)
Al (0.5000, 0.0715, 0.6378)
Al (0.5000, 0.9285, 0.6378)
Pd (0.0000, 0.2983, 0.8790)
Pd (0.0000, 0.7017, 0.8790)
Pd (0.5000, 0.2017, 0.8790)
Pd (0.5000, 0.7983, 0.8790)

=====

Structure and simulated XRD peak list of DyTm2Mg4Al2 (a crystal structure in OQMD, relaxed with GGA-PBE; λ = 1.5418 Å (Cu Kα)).

Top 12 peaks for 2θ from 10° to 90°, sorted by position:
d_spacing	I_rel
6.433	37
4.548	63
3.717	47
3.210	49
2.876	100
2.631	48
2.623	96
2.434	29
2.274	30
1.664	29
1.660	36
1.404	28

abc: 4.5481 7.4382 7.4382
angles: 120.32 90.00 90.00
Fractional coordinates of all 9 atoms:
Dy (0.0000, 0.0000, 0.0000)
Tm (0.0000, 0.1256, 0.5638)
Tm (0.0000, 0.5638, 0.1256)
Mg (0.0000, 0.5604, 0.5604)
Mg (0.5000, 0.3133, 0.3133)
Mg (0.5000, 0.5628, 0.8119)
Mg (0.5000, 0.8119, 0.5628)
Al (0.5000, 0.2313, 0.8963)
Al (0.5000, 0.8963, 0.2313)

=====

Structure and simulated XRD peak list of NdDy2Al3Ni3 (a crystal structure in OQMD, relaxed with GGA-PBE; λ = 1.5418 Å (Cu Kα)).

Top 12 peaks for 2θ from 10° to 90°, sorted by position:
d_spacing	I_rel
3.984	42
3.486	19
3.461	36
3.012	32
2.624	53
2.613	96
2.403	100
2.392	43
2.008	18
1.992	44
1.661	22
1.543	18

abc: 3.9839 6.9226 6.9226
angles: 119.52 90.00 90.00
Fractional coordinates of all 9 atoms:
Nd (0.0000, 0.0000, 0.0000)
Dy (0.0000, 0.4160, 0.8306)
Dy (0.0000, 0.8306, 0.4160)
Al (0.5000, 0.1875, 0.4218)
Al (0.5000, 0.4218, 0.1875)
Al (0.5000, 0.6463, 0.6463)
Ni (0.0000, 0.4231, 0.4231)
Ni (0.5000, 0.0862, 0.7433)
Ni (0.5000, 0.7433, 0.0862)

=====

Structure and simulated XRD peak list of DyAl3Ni2 (a crystal structure in OQMD, relaxed with GGA-PBE; λ = 1.5418 Å (Cu Kα)).

Top 12 peaks for 2θ from 10° to 90°, sorted by position:
d_spacing	I_rel
4.497	38
3.613	62
3.021	24
2.816	23
2.596	31
2.387	100
2.248	71
2.190	40
2.039	31
1.510	39
1.455	19
1.095	17

abc: 8.9936 8.9936 4.0779
angles: 90.00 90.00 120.00
Fractional coordinates of all 18 atoms:
Dy (0.0000, 0.0000, 0.0000)
Dy (0.3333, 0.6667, 0.5000)
Dy (0.6667, 0.3333, 0.5000)
Al (0.0000, 0.2978, 0.5000)
Al (0.0000, 0.5000, 0.0000)
Al (0.0000, 0.7022, 0.5000)
Al (0.2978, 0.0000, 0.5000)
Al (0.2978, 0.2978, 0.5000)
Al (0.5000, 0.0000, 0.0000)
Al (0.5000, 0.5000, 0.0000)
Al (0.7022, 0.0000, 0.5000)
Al (0.7022, 0.7022, 0.5000)
Ni (0.1818, 0.3636, 0.0000)
Ni (0.1818, 0.8182, 0.0000)
Ni (0.3636, 0.1818, 0.0000)
Ni (0.6364, 0.8182, 0.0000)
Ni (0.8182, 0.1818, 0.0000)
Ni (0.8182, 0.6364, 0.0000)